Entry 1:
This entry pairs a crystal structure of ScPa2Zn with its theoretical powder X-ray diffraction pattern. Radiation: CuKα. Structure: the GGA-PBE geometry in Alexandria.

Largest 10 diffraction maxima, in order of rising 2θ, 15° ≤ 2θ ≤ 90°:
2theta	I (rel.)
15.18	100
30.64	55
33.49	74
33.79	45
35.84	54
38.05	32
42.44	41
44.14	44
59.68	27
68.57	47

Crystal structure
```
data_ScPa2Zn
_cell_length_a 11.807
_cell_length_b 11.807
_cell_length_c 11.807
_cell_angle_alpha 15.08
_cell_angle_beta 15.08
_cell_angle_gamma 15.08
_space_group_name_H-M_alt 'P 1'
_space_group_IT_number 1
loop_
_space_group_symop_operation_xyz
'x,y,z'
loop_
_atom_site_label
_atom_site_type_symbol
_atom_site_fract_x
_atom_site_fract_y
_atom_site_fract_z
_atom_site_occupancy
Sc1 Sc 0.000 0.000 0.000 1
Pa1 Pa 0.413 0.413 0.413 1
Pa2 Pa 0.587 0.587 0.587 1
Zn1 Zn 0.500 0.500 0.500 1
```

Entry 2:
This entry pairs a crystal structure of Pa4Se5 with its theoretical powder X-ray diffraction pattern. Radiation: CuKα. Structure: the GGA-PBE geometry in Alexandria.

Largest 10 diffraction maxima, in order of rising 2θ, 15° ≤ 2θ ≤ 90°:
2theta	I (rel.)
15.27	64
24.26	49
25.80	54
30.12	71
33.93	80
34.58	93
37.41	100
40.62	34
54.38	36
70.41	37

Crystal structure
```
data_Pa4Se5
_cell_length_a 8.400
_cell_length_b 8.400
_cell_length_c 8.400
_cell_angle_alpha 92.66
_cell_angle_beta 92.66
_cell_angle_gamma 155.13
_space_group_name_H-M_alt 'P 1'
_space_group_IT_number 1
loop_
_space_group_symop_operation_xyz
'x,y,z'
loop_
_atom_site_label
_atom_site_type_symbol
_atom_site_fract_x
_atom_site_fract_y
_atom_site_fract_z
_atom_site_occupancy
Pa1 Pa 0.125 0.204 0.329 1
Pa2 Pa 0.204 0.875 0.080 1
Pa3 Pa 0.796 0.125 0.920 1
Pa4 Pa 0.875 0.796 0.671 1
Se1 Se 0.000 0.000 0.000 1
Se2 Se 0.225 0.433 0.658 1
Se3 Se 0.433 0.775 0.208 1
Se4 Se 0.567 0.225 0.792 1
Se5 Se 0.775 0.567 0.342 1
```